Structure and calculated powder diffractogram of SmPt2 (a crystal structure in the Materials Project, relaxed with GGA-PBE; CuKα).

The 12 most intense peaks (2θ = 15–90°), low angle first:
2θ 19.8, intensity 14
2θ 32.6, intensity 20
2θ 38.4, intensity 100
2θ 40.2, intensity 49
2θ 46.8, intensity 9
2θ 51.3, intensity 4
2θ 58.2, intensity 8
2θ 62.1, intensity 33
2θ 68.3, intensity 30
2θ 77.8, intensity 3
2θ 81.2, intensity 12
2θ 82.4, intensity 19

Atomic structure:
Cell lengths 5.492, 5.492, 5.492 Å; angles 60.00, 60.00, 60.00 degrees
Element x y z (fractional)
Sm  0.125  0.125  0.125
Sm  0.875  0.875  0.875
Pt  0.000  0.500  0.500
Pt  0.500  0.000  0.500
Pt  0.500  0.500  0.000
Pt  0.500  0.500  0.500

Structure and calculated powder diffractogram of KEuNbBiO6 (a crystal structure in the Materials Project, relaxed with GGA-PBE; CuKα).

The 12 most intense peaks (2θ = 15–90°), low angle first:
2θ 17.8, intensity 9
2θ 20.6, intensity 8
2θ 29.3, intensity 100
2θ 41.8, intensity 10
2θ 42.0, intensity 10
2θ 42.1, intensity 10
2θ 52.0, intensity 28
2θ 52.1, intensity 14
2θ 60.8, intensity 13
2θ 60.9, intensity 6
2θ 84.0, intensity 7
2θ 84.2, intensity 11

Atomic structure:
Cell lengths 8.588, 8.610, 8.638 Å; angles 90.00, 90.00, 90.00 degrees
Element x y z (fractional)
K  0.250  0.250  0.250
K  0.250  0.750  0.750
K  0.750  0.250  0.250
K  0.750  0.750  0.750
Eu  0.250  0.250  0.750
Eu  0.250  0.750  0.250
Eu  0.750  0.250  0.750
Eu  0.750  0.750  0.250
Nb  0.000  0.000  0.000
Nb  0.000  0.500  0.500
Nb  0.500  0.000  0.500
Nb  0.500  0.500  0.000
Bi  0.000  0.000  0.500
Bi  0.000  0.500  0.000
Bi  0.500  0.000  0.000
Bi  0.500  0.500  0.500
O  0.010  0.017  0.765
O  0.010  0.483  0.735
O  0.011  0.735  0.505
O  0.011  0.765  0.995
O  0.235  0.010  0.011
O  0.235  0.490  0.489
O  0.265  0.010  0.489
O  0.265  0.490  0.011
O  0.489  0.735  0.995
O  0.489  0.765  0.505
O  0.490  0.017  0.735
O  0.490  0.483  0.765
O  0.510  0.517  0.235
O  0.510  0.983  0.265
O  0.511  0.235  0.495
O  0.511  0.265  0.005
O  0.735  0.510  0.989
O  0.735  0.990  0.511
O  0.765  0.510  0.511
O  0.765  0.990  0.989
O  0.989  0.235  0.005
O  0.989  0.265  0.495
O  0.990  0.517  0.265
O  0.990  0.983  0.235